# Pd4Se
Simulated XRD peak list, Cu Kα X-rays. Input: DFT lattice parameters and positions (GGA-PBE).
Lines closer than 0.1° are merged.

The 6 most intense peaks (10 to 80 degrees two-theta), low angle first:
| 2theta | I (rel.) | hkl |
| --- | --- | --- |
| 37.74 | 48 | 2 0 2 |
| 38.97 | 62 | 3 3 1 |
| 39.42 | 68 | 4 2 0 |
| 40.66 | 100 | 2 2 2 |
| 41.74 | 85 | 1 5 1 |
| 66.40 | 20 | 6 0 2 |

Unit cell a=9.8695 b=12.1423 c=5.4448 alpha=90.00 beta=90.00 gamma=90.00
Space group Fdd2 (No. 43)
Asymmetric unit:
Pd (0.0713, 0.1144, 0.0000)
Pd (0.0855, 0.1865, 0.5033)
Se (0.0000, 0.0000, 0.6074)